# LiV2F9
Theoretical powder diffraction line list, Cu Kα, 1.54184 Å. Input: a cell relaxed with GGA+U.
Kinematic intensities with the Lorentz-polarization factor, no thermal factor.

```
LiV2F9
1.0
5.623 0.000 0.000
2.453 7.059 0.000
0.934 2.556 8.658
Li V F
2 4 18
Cartesian
1.723 1.865 0.903 Li
7.288 7.751 7.756 Li
3.130 3.249 6.102 V
4.359 6.751 6.038 V
4.651 2.865 2.620 V
5.880 6.367 2.557 V
1.747 4.229 5.637 F
3.027 6.944 4.903 F
3.229 6.714 7.512 F
4.458 8.708 6.254 F
2.883 3.601 7.906 F
4.440 7.423 2.153 F
3.153 2.961 1.584 F
3.436 2.801 4.195 F
4.324 4.802 5.896 F
4.686 4.814 2.762 F
5.574 6.814 4.463 F
5.857 6.654 7.074 F
4.570 2.192 6.505 F
6.127 6.015 0.752 F
4.553 0.908 2.405 F
5.781 2.901 1.146 F
5.983 2.671 3.755 F
7.263 5.386 3.021 F
```

Top 8 peaks for 10° ≤ 2θ ≤ 80°, by intensity:
2theta, d_spacing, I/Imax
19.6, 4.531, 100
25.4, 3.502, 71
20.5, 4.329, 56
10.2, 8.658, 53
16.7, 5.311, 44
26.6, 3.348, 30
26.3, 3.385, 24
45.3, 2.001, 15